# 1
Structure and simulated powder diffractogram of LiTiSi4O10 (a structure optimized by DFT (GGA-PBE); Cu Ka).
No peak broadening, texture or thermal motion is included.

Principal peaks in the range 15 to 90 degrees two-theta, sorted by position:
2θ/deg	d [Å]	I/Imax
15.73	5.634	23
23.43	3.797	80
24.18	3.681	100
24.67	3.608	34
26.76	3.332	33
29.39	3.039	70
34.82	2.577	45
36.90	2.436	36
39.05	2.307	44
39.27	2.294	21

Crystal structure
abc: 4.862 7.217 11.267
angles: 90.00 90.00 90.00
Space group Pnc2 (No. 30)
Asymmetric unit:
Li1 0.000 0.000 0.000 x2
Ti1 0.500 0.000 0.120 x2
Si1 0.037 0.212 0.737 x4
Si2 0.465 0.713 0.896 x4
O1 0.000 0.000 0.690 x2
O2 0.183 0.156 0.140 x4
O3 0.228 0.205 0.858 x4
O4 0.273 0.703 0.772 x4
O5 0.326 0.659 0.496 x4
O6 0.500 0.000 0.441 x2

# 2
Structure and simulated powder diffractogram of LiTl6Si2O7 (a structure optimized by DFT (GGA-PBE); Cu Ka).
No peak broadening, texture or thermal motion is included.

Principal peaks in the range 15 to 90 degrees two-theta, sorted by position:
2θ/deg	d [Å]	I/Imax
19.91	4.460	29
20.39	4.356	32
25.26	3.525	35
25.36	3.512	56
26.05	3.421	94
27.42	3.253	100
28.30	3.153	72
30.17	2.962	43
31.03	2.882	56
34.58	2.594	53

Crystal structure
abc: 5.205 8.734 8.974
angles: 63.46 85.43 87.10
Space group P1 (No. 1)
Asymmetric unit:
Li1 0.000 0.000 0.000 x1
Tl1 0.092 0.952 0.334 x1
Tl2 0.494 0.613 0.509 x1
Tl3 0.548 0.784 0.997 x1
Tl4 0.554 0.300 0.280 x1
Tl5 0.986 0.537 0.864 x1
Tl6 0.993 0.204 0.637 x1
Si1 0.016 0.589 0.260 x1
Si2 0.488 0.225 0.903 x1
O1 0.309 0.071 0.040 x1
O2 0.335 0.579 0.259 x1
O3 0.382 0.314 0.717 x1
O4 0.611 0.346 0.971 x1
O5 0.897 0.493 0.456 x1
O6 0.913 0.495 0.152 x1
O7 0.914 0.792 0.175 x1